Calculated powder diffraction line list of Ac2TmGe4Ir3 for Cu Kα, from a cell relaxed with PBE.
No peak broadening, texture or thermal motion is included.

Structure:
Cell: 4.3982 4.3982 11.0942 Å, 90.00 90.00 90.00°
Space group P-4m2 (No. 115)
Symmetry-distinct sites (fractional):
Ac1 0.0000 0.5000 0.2317
Tm1 0.0000 0.0000 0.5000
Ge1 0.0000 0.0000 0.0000
Ge2 0.0000 0.5000 0.6585
Ge3 0.5000 0.5000 0.0000
Ir1 0.0000 0.5000 0.8860
Ir2 0.5000 0.5000 0.5000

The 10 most intense peaks (15 to 90 degrees two-theta), by angle:
d/Å	intensity
3.110	17
2.995	30
2.830	71
2.713	100
2.199	68
2.070	17
1.981	21
1.737	35
1.555	23
1.349	24